(1)
This entry pairs a crystal structure of La6Mg23C with its theoretical X-ray diffraction stick pattern. Radiation: Cu Kα X-rays. Structure: a cell relaxed with GGA-PBE.

Top 6 peaks for 15 to 90 degrees two-theta, by angle:
2theta, I_rel, (hkl)
26.78, 39, 3 3 1
30.18, 35, 4 2 2
32.06, 100, 3 3 3
34.99, 29, 4 4 0
37.18, 28, 6 0 0
53.60, 34, 6 6 0

Cell and atoms:
a b c (Å): 14.5083 14.5083 14.5083
angles (deg): 90.00 90.00 90.00
Space group Fm-3m (No. 225)
Symmetry-distinct sites (fractional):
La (0.0000, 0.0000, 0.1855)
Mg (0.0000, 0.0000, 0.5000)
Mg (0.0000, 0.2500, 0.2500)
Mg (0.1195, 0.1195, 0.3805)
Mg (0.1735, 0.1735, 0.1735)
C (0.0000, 0.0000, 0.0000)

***

(2)
This entry pairs a crystal structure of Sr3Bi3N5 with its theoretical X-ray diffraction stick pattern. Radiation: Cu Kα X-rays. Structure: a cell relaxed with GGA-PBE.

Top 6 peaks for 15 to 90 degrees two-theta, by angle:
2theta, I_rel, (hkl)
27.88, 80, 1 0 -3
29.71, 100, 1 0 3
30.14, 39, 1 2 0
30.27, 49, 2 -1 0
30.90, 39, 1 -2 2
31.81, 37, 0 2 -3

Cell and atoms:
a b c (Å): 6.4121 7.0621 10.9606
angles (deg): 103.20 93.72 91.87
Space group P-1 (No. 2)
Symmetry-distinct sites (fractional):
Sr (0.1585, 0.2991, 0.3863)
Sr (0.1835, 0.2886, 0.7716)
Sr (0.2707, 0.8893, 0.0524)
Bi (0.2285, 0.4317, 0.0980)
Bi (0.3345, 0.7589, 0.7250)
Bi (0.3785, 0.7884, 0.4003)
N (0.0744, 0.6498, 0.8180)
N (0.1658, 0.9106, 0.2859)
N (0.1981, 0.6599, 0.5297)
N (0.3325, 0.1857, 0.9686)
N (0.4484, 0.4843, 0.2706)

***

(3)
This entry pairs a crystal structure of Tb2MgS4 with its theoretical X-ray diffraction stick pattern. Radiation: Cu Kα X-rays. Structure: a cell relaxed with GGA-PBE.

Top 6 peaks for 15 to 90 degrees two-theta, by angle:
2theta, I_rel, (hkl)
26.32, 100, 3 1 1
27.51, 31, 2 2 2
31.87, 90, 4 0 0
41.79, 42, 5 1 1
45.69, 81, 4 4 0
75.75, 28, 8 4 0

Cell and atoms:
a b c (Å): 11.2316 11.2316 11.2316
angles (deg): 90.00 90.00 90.00
Space group Fd-3m (No. 227, origin choice 2)
Symmetry-distinct sites (fractional):
Tb (0.0000, 0.0000, 0.0000)
Mg (0.1250, 0.1250, 0.6250)
S (0.0044, 0.0044, 0.2456)

***

(4)
This entry pairs a crystal structure of NaPr3Ge4O13 with its theoretical X-ray diffraction stick pattern. Radiation: Cu Kα X-rays. Structure: a cell relaxed with GGA-PBE.

Top 6 peaks for 15 to 90 degrees two-theta, by angle:
2theta, I_rel, (hkl)
28.10, 100, 0 2 1
28.23, 54, 1 0 3
28.89, 39, 2 1 -1
29.68, 26, 2 1 0
30.37, 51, 0 2 -3
30.78, 35, 0 0 4

Cell and atoms:
a b c (Å): 6.9482 7.2008 12.0452
angles (deg): 102.29 98.58 91.61
Space group P-1 (No. 2)
Symmetry-distinct sites (fractional):
Na (0.1228, 0.3066, 0.3488)
Pr (0.0533, 0.8243, 0.3545)
Pr (0.2745, 0.5878, 0.8648)
Pr (0.4463, 0.9627, 0.1651)
Ge (0.1155, 0.1007, 0.8979)
Ge (0.2287, 0.4395, 0.1205)
Ge (0.3098, 0.6557, 0.5951)
Ge (0.4057, 0.2223, 0.5673)
O (0.0518, 0.2931, 0.0075)
O (0.0687, 0.5134, 0.2197)
O (0.1044, 0.9890, 0.1949)
O (0.1483, 0.6153, 0.4684)
O (0.1872, 0.0817, 0.5187)
O (0.2467, 0.2230, 0.8149)
O (0.2491, 0.8053, 0.7177)
O (0.2835, 0.9486, 0.9544)
O (0.3251, 0.4389, 0.6508)
O (0.3564, 0.6146, 0.0710)
O (0.4076, 0.8525, 0.3424)
O (0.4112, 0.2917, 0.1593)
O (0.4531, 0.2810, 0.4347)

***

(5)
This entry pairs a crystal structure of Ca10Ge6F with its theoretical X-ray diffraction stick pattern. Radiation: Cu Kα X-rays. Structure: a cell relaxed with GGA-PBE.

Top 6 peaks for 15 to 90 degrees two-theta, by angle:
2theta, I_rel, (hkl)
20.22, 28, 1 1 2
31.64, 100, 2 1 3
33.58, 44, 2 0 4
36.79, 46, 3 1 0
40.18, 25, 1 1 6
66.75, 18, 5 1 4

Cell and atoms:
a b c (Å): 7.7255 7.7255 14.7652
angles (deg): 90.00 90.00 90.00
Space group I-42m (No. 121)
Symmetry-distinct sites (fractional):
Ca (0.0000, 0.5000, 0.2500)
Ca (0.1664, 0.1664, 0.3986)
Ca (0.1751, 0.1751, 0.1076)
Ge (0.0000, 0.5000, 0.0000)
Ge (0.1185, 0.1185, 0.7519)
F (0.0000, 0.0000, 0.5000)

***

(6)
This entry pairs a crystal structure of Er2Hf2O7 with its theoretical X-ray diffraction stick pattern. Radiation: Cu Kα X-rays. Structure: a cell relaxed with GGA-PBE.

Top 6 peaks for 15 to 90 degrees two-theta, by angle:
2theta, I_rel, (hkl)
29.60, 100, 2 2 2
34.31, 36, 4 0 0
49.31, 46, 4 4 0
58.57, 44, 6 2 2
80.02, 18, 6 6 2
82.54, 15, 8 4 0

Cell and atoms:
a b c (Å): 10.4537 10.4537 10.4537
angles (deg): 90.00 90.00 90.00
Space group Fd-3m (No. 227, origin choice 2)
Symmetry-distinct sites (fractional):
Er (0.0000, 0.0000, 0.0000)
Hf (0.0000, 0.0000, 0.5000)
O (0.0896, 0.3750, 0.8750)
O (0.1250, 0.1250, 0.1250)

***

Please write out number 4 again, unchanged.
This entry pairs a crystal structure of NaPr3Ge4O13 with its theoretical X-ray diffraction stick pattern. Radiation: Cu Kα X-rays. Structure: a cell relaxed with GGA-PBE.

Top 6 peaks for 15 to 90 degrees two-theta, by angle:
2theta, I_rel, (hkl)
28.10, 100, 0 2 1
28.23, 54, 1 0 3
28.89, 39, 2 1 -1
29.68, 26, 2 1 0
30.37, 51, 0 2 -3
30.78, 35, 0 0 4

Cell and atoms:
a b c (Å): 6.9482 7.2008 12.0452
angles (deg): 102.29 98.58 91.61
Space group P-1 (No. 2)
Symmetry-distinct sites (fractional):
Na (0.1228, 0.3066, 0.3488)
Pr (0.0533, 0.8243, 0.3545)
Pr (0.2745, 0.5878, 0.8648)
Pr (0.4463, 0.9627, 0.1651)
Ge (0.1155, 0.1007, 0.8979)
Ge (0.2287, 0.4395, 0.1205)
Ge (0.3098, 0.6557, 0.5951)
Ge (0.4057, 0.2223, 0.5673)
O (0.0518, 0.2931, 0.0075)
O (0.0687, 0.5134, 0.2197)
O (0.1044, 0.9890, 0.1949)
O (0.1483, 0.6153, 0.4684)
O (0.1872, 0.0817, 0.5187)
O (0.2467, 0.2230, 0.8149)
O (0.2491, 0.8053, 0.7177)
O (0.2835, 0.9486, 0.9544)
O (0.3251, 0.4389, 0.6508)
O (0.3564, 0.6146, 0.0710)
O (0.4076, 0.8525, 0.3424)
O (0.4112, 0.2917, 0.1593)
O (0.4531, 0.2810, 0.4347)